Diffraction record for InCuCl6. The XRD peak list is computed, not measured: it uses a GGA-PBE-relaxed structure and Cu Kα X-rays.

Crystal structure
```
InCuCl6
1.0
4.814 0.000 0.000
-2.050 6.980 0.000
-0.221 -3.657 6.600
In Cu Cl
1 1 6
Direct
0.000 0.000 0.000
0.593 0.035 0.478
0.039 0.204 0.434
0.425 0.798 0.156
0.530 0.517 0.483
0.550 0.164 0.798
0.927 0.744 0.504
0.991 0.486 0.984
```

Top 8 peaks for 2θ from 10° to 90°, by angle:
hkl	Position (°2θ)	Rel. int.
0 1 0	14.5	61
1 0 -1	21.6	38
1 1 -1	26.1	25
0 0 2	27.0	50
1 -2 1	27.5	100
1 2 -1	36.7	63
2 0 0	39.7	23
1 -2 3	41.1	19